Record 1
The following is a theoretical powder X-ray diffraction pattern of Be6Co2Ni. It was derived from a structure optimized by DFT (GGA-PBE), using CuKα.
No peak broadening, texture or thermal motion is included.

Main lines, in order of falling intensity (2θ = 10–90°):
| 2theta | d [Å] | Rel. int. |
| --- | --- | --- |
| 29.29 | 3.050 | 100 |
| 48.48 | 1.878 | 69 |
| 51.94 | 1.761 | 32 |
| 73.78 | 1.284 | 18 |
| 65.97 | 1.416 | 14 |
| 37.76 | 2.383 | 13 |

Cell and atoms:
```
data_Be6Co2Ni
_chemical_formula_sum 'Be6 Co2 Ni1'
_space_group_name_H-M_alt 'P 1'
_space_group_IT_number 1
_space_group_name_Hall 'P 1'
_cell_length_a 6.099
_cell_length_b 6.099
_cell_length_c 2.383
_cell_angle_alpha 90.00
_cell_angle_beta 90.00
_cell_angle_gamma 120.00
loop_
_atom_site_label
_atom_site_fract_x
_atom_site_fract_y
_atom_site_fract_z
_atom_site_occupancy
Be1 0.000 0.335 0.000 1
Be2 0.000 0.665 0.000 1
Be3 0.335 0.000 0.000 1
Be4 0.335 0.335 0.000 1
Be5 0.665 0.000 0.000 1
Be6 0.665 0.665 0.000 1
Co1 0.333 0.667 0.500 1
Co2 0.667 0.333 0.500 1
Ni1 0.000 0.000 0.500 1
```

Record 2
The following is a theoretical powder X-ray diffraction pattern of Be6CoNi5. It was derived from a structure optimized by DFT (GGA-PBE), using CuKα.
No peak broadening, texture or thermal motion is included.

Main lines, in order of falling intensity (2θ = 10–90°):
| 2theta | d [Å] | Rel. int. |
| --- | --- | --- |
| 49.47 | 1.842 | 100 |
| 34.49 | 2.600 | 81 |
| 34.32 | 2.613 | 41 |
| 61.69 | 1.504 | 27 |
| 49.62 | 1.837 | 20 |
| 82.96 | 1.164 | 16 |

Cell and atoms:
```
data_Be6CoNi5
_chemical_formula_sum 'Be6 Co1 Ni5'
_space_group_name_H-M_alt 'P 1'
_space_group_IT_number 1
_space_group_name_Hall 'P 1'
_cell_length_a 5.811
_cell_length_b 5.811
_cell_length_c 5.225
_cell_angle_alpha 90.00
_cell_angle_beta 90.00
_cell_angle_gamma 143.08
loop_
_atom_site_label
_atom_site_fract_x
_atom_site_fract_y
_atom_site_fract_z
_atom_site_occupancy
Be1 0.000 0.000 0.245 1
Be2 0.000 0.000 0.755 1
Be3 0.335 0.665 0.247 1
Be4 0.335 0.665 0.753 1
Be5 0.665 0.335 0.247 1
Be6 0.665 0.335 0.753 1
Co1 0.500 0.500 0.000 1
Ni1 0.167 0.833 0.500 1
Ni2 0.168 0.832 0.000 1
Ni3 0.500 0.500 0.500 1
Ni4 0.832 0.168 0.000 1
Ni5 0.833 0.167 0.500 1
```

Record 3
The following is a theoretical powder X-ray diffraction pattern of Pa2Be3CoNi12. It was derived from a structure optimized by DFT (GGA-PBE), using CuKα.
No peak broadening, texture or thermal motion is included.

Main lines, in order of falling intensity (2θ = 10–90°):
| 2theta | d [Å] | Rel. int. |
| --- | --- | --- |
| 44.10 | 2.054 | 100 |
| 31.55 | 2.836 | 60 |
| 46.27 | 1.962 | 60 |
| 22.68 | 3.921 | 47 |
| 50.15 | 1.819 | 34 |
| 29.35 | 3.044 | 29 |

Cell and atoms:
```
data_Pa2Be3CoNi12
_chemical_formula_sum 'Pa2 Be3 Co1 Ni12'
_space_group_name_H-M_alt 'P 1'
_space_group_IT_number 1
_space_group_name_Hall 'P 1'
_cell_length_a 6.153
_cell_length_b 6.153
_cell_length_c 6.153
_cell_angle_alpha 83.74
_cell_angle_beta 83.74
_cell_angle_gamma 83.74
loop_
_atom_site_label
_atom_site_fract_x
_atom_site_fract_y
_atom_site_fract_z
_atom_site_occupancy
Pa1 0.178 0.178 0.178 1
Pa2 0.822 0.822 0.822 1
Be1 0.000 0.500 0.500 1
Be2 0.500 0.000 0.500 1
Be3 0.500 0.500 0.000 1
Co1 0.500 0.500 0.500 1
Ni1 0.111 0.111 0.606 1
Ni2 0.111 0.606 0.111 1
Ni3 0.193 0.690 0.690 1
Ni4 0.310 0.310 0.807 1
Ni5 0.310 0.807 0.310 1
Ni6 0.394 0.889 0.889 1
Ni7 0.606 0.111 0.111 1
Ni8 0.690 0.193 0.690 1
Ni9 0.690 0.690 0.193 1
Ni10 0.807 0.310 0.310 1
Ni11 0.889 0.394 0.889 1
Ni12 0.889 0.889 0.394 1
```

Record 4
The following is a theoretical powder X-ray diffraction pattern of Pm2Be3CoNi12. It was derived from a structure optimized by DFT (GGA-PBE), using CuKα.
No peak broadening, texture or thermal motion is included.

Main lines, in order of falling intensity (2θ = 10–90°):
| 2theta | d [Å] | Rel. int. |
| --- | --- | --- |
| 35.53 | 2.527 | 100 |
| 50.05 | 1.823 | 48 |
| 52.19 | 1.753 | 36 |
| 30.05 | 2.974 | 24 |
| 39.09 | 2.304 | 18 |
| 29.20 | 3.058 | 17 |

Cell and atoms:
```
data_Pm2Be3CoNi12
_chemical_formula_sum 'Pm2 Be3 Co1 Ni12'
_space_group_name_H-M_alt 'P 1'
_space_group_IT_number 1
_space_group_name_Hall 'P 1'
_cell_length_a 7.021
_cell_length_b 7.021
_cell_length_c 7.021
_cell_angle_alpha 62.56
_cell_angle_beta 62.56
_cell_angle_gamma 62.56
loop_
_atom_site_label
_atom_site_fract_x
_atom_site_fract_y
_atom_site_fract_z
_atom_site_occupancy
Pm1 0.110 0.110 0.110 1
Pm2 0.890 0.890 0.890 1
Be1 0.000 0.500 0.500 1
Be2 0.500 0.000 0.500 1
Be3 0.500 0.500 0.000 1
Co1 0.500 0.500 0.500 1
Ni1 0.120 0.623 0.623 1
Ni2 0.155 0.155 0.593 1
Ni3 0.155 0.593 0.155 1
Ni4 0.377 0.377 0.880 1
Ni5 0.377 0.880 0.377 1
Ni6 0.407 0.845 0.845 1
Ni7 0.593 0.155 0.155 1
Ni8 0.623 0.120 0.623 1
Ni9 0.623 0.623 0.120 1
Ni10 0.845 0.407 0.845 1
Ni11 0.845 0.845 0.407 1
Ni12 0.880 0.377 0.377 1
```

Record 5
The following is a theoretical powder X-ray diffraction pattern of Ta2Be2Co5Ni. It was derived from a structure optimized by DFT (GGA-PBE), using CuKα.
No peak broadening, texture or thermal motion is included.

Main lines, in order of falling intensity (2θ = 10–90°):
| 2theta | d [Å] | Rel. int. |
| --- | --- | --- |
| 36.94 | 2.434 | 100 |
| 44.39 | 2.041 | 74 |
| 44.60 | 2.032 | 71 |
| 23.75 | 3.746 | 47 |
| 41.54 | 2.174 | 32 |
| 75.64 | 1.257 | 29 |

Cell and atoms:
```
data_Ta2Be2Co5Ni
_chemical_formula_sum 'Ta4 Be4 Co10 Ni2'
_space_group_name_H-M_alt 'P 1'
_space_group_IT_number 1
_space_group_name_Hall 'P 1'
_cell_length_a 8.377
_cell_length_b 8.377
_cell_length_c 3.201
_cell_angle_alpha 90.00
_cell_angle_beta 90.00
_cell_angle_gamma 90.00
loop_
_atom_site_label
_atom_site_fract_x
_atom_site_fract_y
_atom_site_fract_z
_atom_site_occupancy
Ta1 0.180 0.320 0.000 1
Ta2 0.320 0.820 0.000 1
Ta3 0.680 0.180 0.000 1
Ta4 0.820 0.680 0.000 1
Be1 0.116 0.616 0.000 1
Be2 0.384 0.116 0.000 1
Be3 0.616 0.884 0.000 1
Be4 0.884 0.384 0.000 1
Co1 0.000 0.500 0.500 1
Co2 0.069 0.788 0.500 1
Co3 0.212 0.069 0.500 1
Co4 0.288 0.569 0.500 1
Co5 0.431 0.288 0.500 1
Co6 0.500 0.000 0.500 1
Co7 0.569 0.712 0.500 1
Co8 0.712 0.431 0.500 1
Co9 0.788 0.931 0.500 1
Co10 0.931 0.212 0.500 1
Ni1 0.000 0.000 0.000 1
Ni2 0.500 0.500 0.000 1
```